Computed X-ray powder pattern of Ti6Bi2B for Cu Kα (weighted mean of Kα1 and Kα2), from a structure optimized by DFT (GGA-PBE).
Intensities are scaled so that the largest is 1000.

Largest 8 diffraction maxima, low angle first, 2θ from 5° to 70°:
2θ/deg  I_rel
19.6  1000
20.9  970
29.2  934
34.0  936
36.1  986
36.4  881
39.8  874
45.9  697

Structural model:
Cell: 5.611 6.494 10.565 Å, 90.00 121.00 90.00°
Sites, in units of the cell vectors:
1 Ti 0.106 0.026 0.237
2 Ti 0.106 0.474 0.737
3 Ti 0.173 0.688 0.011
4 Ti 0.173 0.812 0.511
5 Ti 0.356 0.192 0.016
6 Ti 0.356 0.308 0.516
7 Ti 0.644 0.692 0.484
8 Ti 0.644 0.808 0.984
9 Ti 0.827 0.188 0.489
10 Ti 0.827 0.312 0.989
11 Ti 0.894 0.526 0.263
12 Ti 0.894 0.974 0.763
13 Bi 0.363 0.091 0.752
14 Bi 0.363 0.409 0.252
15 Bi 0.637 0.591 0.748
16 Bi 0.637 0.909 0.248
17 B 0.000 0.000 0.000
18 B 0.000 0.500 0.500